(1)
Structure and calculated powder diffraction line list of Er2FeSi4 (a crystal structure in the Materials Project, relaxed with PBE; λ = 1.5418 Å (Cu Kα)).
No peak broadening, texture or thermal motion is included.

abc: 3.972 4.081 14.996
angles: 90.00 90.00 90.00
Sites, in units of the cell vectors:
Er  0.000  0.000  0.000
Er  0.000  0.500  0.500
Er  0.500  0.000  0.203
Er  0.500  0.500  0.703
Fe  0.000  0.000  0.797
Fe  0.000  0.500  0.297
Si  0.000  0.000  0.359
Si  0.000  0.000  0.646
Si  0.000  0.500  0.146
Si  0.000  0.500  0.859
Si  0.500  0.000  0.540
Si  0.500  0.000  0.860
Si  0.500  0.500  0.040
Si  0.500  0.500  0.360

Largest 10 diffraction maxima, in order of rising 2θ, 2θ from 5° to 70°:
2θ (°), d_spacing, I (rel.)
22.6, 3.938, 43
23.7, 3.749, 19
25.4, 3.510, 50
32.0, 2.796, 43
36.3, 2.473, 100
37.2, 2.417, 45
42.7, 2.115, 20
44.4, 2.040, 24
45.7, 1.986, 22
60.3, 1.534, 22

(2)
Structure and calculated powder diffraction line list of TaSi2 (a crystal structure in the Materials Project, relaxed with PBE; λ = 1.5418 Å (Cu Kα)).
No peak broadening, texture or thermal motion is included.

abc: 4.806 4.806 6.604
angles: 90.00 90.00 120.00
Sites, in units of the cell vectors:
Ta  0.000  0.500  0.167
Ta  0.500  0.000  0.500
Ta  0.500  0.500  0.833
Si  0.159  0.318  0.500
Si  0.159  0.841  0.833
Si  0.318  0.159  0.167
Si  0.682  0.841  0.167
Si  0.841  0.159  0.833
Si  0.841  0.682  0.500

Largest 10 diffraction maxima, in order of rising 2θ, 2θ from 5° to 70°:
2θ (°), d_spacing, I (rel.)
21.3, 4.162, 16
25.3, 3.521, 100
34.7, 2.587, 45
39.9, 2.258, 75
41.0, 2.201, 26
43.5, 2.081, 27
46.7, 1.943, 52
60.5, 1.530, 18
61.3, 1.512, 20
69.0, 1.361, 15

(3)
Structure and calculated powder diffraction line list of PmLu3 (a crystal structure in the Materials Project, relaxed with PBE; λ = 1.5418 Å (Cu Kα)).
No peak broadening, texture or thermal motion is included.

abc: 7.146 7.146 5.614
angles: 90.00 90.00 120.00
Sites, in units of the cell vectors:
Pm  0.333  0.667  0.250
Pm  0.667  0.333  0.750
Lu  0.164  0.329  0.750
Lu  0.164  0.836  0.750
Lu  0.329  0.164  0.250
Lu  0.671  0.836  0.750
Lu  0.836  0.164  0.250
Lu  0.836  0.671  0.250

Largest 10 diffraction maxima, in order of rising 2θ, 2θ from 5° to 70°:
2θ (°), d_spacing, I (rel.)
28.9, 3.094, 24
31.9, 2.807, 24
33.1, 2.710, 100
43.5, 2.079, 16
51.1, 1.787, 20
57.6, 1.601, 21
59.8, 1.547, 3
61.5, 1.507, 23
62.2, 1.492, 16
69.4, 1.355, 4

(4)
Structure and calculated powder diffraction line list of Ce2SbTe (a crystal structure in the Materials Project, relaxed with PBE; λ = 1.5418 Å (Cu Kα)).
No peak broadening, texture or thermal motion is included.

abc: 4.496 4.496 6.359
angles: 90.00 90.00 90.00
Sites, in units of the cell vectors:
Ce  0.000  0.000  0.000
Ce  0.500  0.500  0.500
Sb  0.000  0.000  0.500
Te  0.500  0.500  0.000

Largest 6 diffraction maxima, in order of rising 2θ, 2θ from 5° to 70°:
2θ (°), d_spacing, I (rel.)
24.2, 3.671, 1
28.1, 3.179, 100
40.1, 2.248, 76
49.7, 1.835, 27
58.0, 1.590, 13
65.7, 1.422, 35

(5)
Structure and calculated powder diffraction line list of GdSnPt2 (a crystal structure in the Materials Project, relaxed with PBE; λ = 1.5418 Å (Cu Kα)).
No peak broadening, texture or thermal motion is included.

abc: 4.577 4.577 9.233
angles: 90.00 90.00 120.00
Sites, in units of the cell vectors:
Gd  0.333  0.667  0.250
Gd  0.667  0.333  0.750
Sn  0.000  0.000  0.000
Sn  0.000  0.000  0.500
Pt  0.333  0.667  0.590
Pt  0.333  0.667  0.910
Pt  0.667  0.333  0.090
Pt  0.667  0.333  0.410

Largest 10 diffraction maxima, in order of rising 2θ, 2θ from 5° to 70°:
2θ (°), d_spacing, I (rel.)
19.2, 4.616, 7
22.4, 3.964, 18
29.7, 3.007, 11
37.0, 2.431, 100
39.4, 2.289, 86
44.2, 2.051, 5
45.5, 1.995, 7
55.1, 1.666, 32
65.0, 1.434, 14
69.8, 1.347, 32

(6)
Structure and calculated powder diffraction line list of CaCO3 (a crystal structure in the Materials Project, relaxed with PBE; λ = 1.5418 Å (Cu Kα)).
No peak broadening, texture or thermal motion is included.

abc: 5.419 5.419 3.786
angles: 90.00 90.00 109.57
Sites, in units of the cell vectors:
Ca  0.195  0.805  0.750
Ca  0.805  0.195  0.250
C  0.359  0.359  0.500
C  0.641  0.641  0.000
O  0.134  0.352  0.663
O  0.352  0.134  0.337
O  0.417  0.583  0.250
O  0.583  0.417  0.750
O  0.648  0.866  0.837
O  0.866  0.648  0.163

Largest 10 diffraction maxima, in order of rising 2θ, 2θ from 5° to 70°:
2θ (°), d_spacing, I (rel.)
29.4, 3.041, 93
33.6, 2.669, 43
35.2, 2.553, 21
41.4, 2.181, 36
42.7, 2.117, 100
47.6, 1.911, 11
48.1, 1.893, 14
51.1, 1.788, 15
53.8, 1.703, 15
59.1, 1.562, 11

(7)
Structure and calculated powder diffraction line list of Pr2CdNi2 (a crystal structure in the Materials Project, relaxed with PBE; λ = 1.5418 Å (Cu Kα)).
No peak broadening, texture or thermal motion is included.

abc: 7.556 7.556 3.872
angles: 90.00 90.00 90.00
Sites, in units of the cell vectors:
Pr  0.178  0.322  0.000
Pr  0.322  0.822  0.000
Pr  0.678  0.178  0.000
Pr  0.822  0.678  0.000
Cd  0.000  0.000  0.500
Cd  0.500  0.500  0.500
Ni  0.116  0.616  0.500
Ni  0.384  0.116  0.500
Ni  0.616  0.884  0.500
Ni  0.884  0.384  0.500

Largest 10 diffraction maxima, in order of rising 2θ, 2θ from 5° to 70°:
2θ (°), d_spacing, I (rel.)
26.4, 3.379, 17
33.1, 2.704, 66
33.5, 2.671, 17
35.3, 2.546, 100
37.6, 2.389, 43
46.9, 1.936, 19
49.8, 1.833, 16
55.5, 1.656, 17
56.9, 1.618, 18
61.7, 1.504, 20

(8)
Structure and calculated powder diffraction line list of KAuI4O12 (a crystal structure in the Materials Project, relaxed with PBE; λ = 1.5418 Å (Cu Kα)).
No peak broadening, texture or thermal motion is included.

abc: 5.905 7.413 8.246
angles: 104.96 93.78 112.44
Sites, in units of the cell vectors:
K  0.000  0.000  0.000
Au  0.224  0.998  0.488
I  0.310  0.690  0.699
I  0.313  0.644  0.180
I  0.616  0.345  0.859
I  0.692  0.303  0.350
O  0.032  0.405  0.118
O  0.075  0.764  0.587
O  0.123  0.802  0.249
O  0.163  0.682  0.886
O  0.289  0.199  0.722
O  0.355  0.232  0.386
O  0.450  0.656  0.388
O  0.492  0.330  0.055
O  0.569  0.942  0.776
O  0.627  0.596  0.866
O  0.674  0.054  0.234
O  0.836  0.331  0.563

Largest 10 diffraction maxima, in order of rising 2θ, 2θ from 5° to 70°:
2θ (°), d_spacing, I (rel.)
16.5, 5.370, 88
19.4, 4.580, 20
25.5, 3.498, 100
25.6, 3.482, 56
27.2, 3.273, 54
29.8, 2.999, 41
30.0, 2.976, 54
33.4, 2.684, 24
41.6, 2.173, 24
44.0, 2.056, 24

(9)
Structure and calculated powder diffraction line list of NaAlO2 (a crystal structure in the Materials Project, relaxed with PBE; λ = 1.5418 Å (Cu Kα)).
No peak broadening, texture or thermal motion is included.

abc: 2.900 2.900 16.088
angles: 90.00 90.00 120.00
Sites, in units of the cell vectors:
Na  0.000  0.000  0.000
Na  0.333  0.667  0.667
Na  0.667  0.333  0.333
Al  0.000  0.000  0.500
Al  0.333  0.667  0.167
Al  0.667  0.333  0.833
O  0.000  0.000  0.230
O  0.000  0.000  0.770
O  0.333  0.667  0.437
O  0.333  0.667  0.896
O  0.667  0.333  0.104
O  0.667  0.333  0.563

Largest 10 diffraction maxima, in order of rising 2θ, 2θ from 5° to 70°:
2θ (°), d_spacing, I (rel.)
16.5, 5.363, 19
33.4, 2.681, 8
37.5, 2.397, 9
42.4, 2.130, 100
45.8, 1.980, 3
51.1, 1.788, 2
54.1, 1.695, 5
58.8, 1.570, 25
64.2, 1.450, 27
69.4, 1.355, 7

(10)
Structure and calculated powder diffraction line list of AgRuF7 (a crystal structure in the Materials Project, relaxed with PBE; λ = 1.5418 Å (Cu Kα)).
No peak broadening, texture or thermal motion is included.

abc: 8.616 5.667 12.744
angles: 90.00 111.39 90.00
Sites, in units of the cell vectors:
Ag  0.140  0.210  0.210
Ag  0.140  0.290  0.710
Ag  0.860  0.710  0.290
Ag  0.860  0.790  0.790
Ru  0.289  0.709  0.064
Ru  0.289  0.791  0.564
Ru  0.711  0.209  0.436
Ru  0.711  0.291  0.936
F  0.019  0.581  0.740
F  0.019  0.919  0.240
F  0.054  0.749  0.499
F  0.054  0.751  0.999
F  0.262  0.537  0.189
F  0.262  0.963  0.689
F  0.272  0.074  0.486
F  0.272  0.426  0.986
F  0.303  0.501  0.650
F  0.303  0.999  0.150
F  0.314  0.617  0.447
F  0.314  0.883  0.947
F  0.479  0.175  0.365
F  0.479  0.325  0.865
F  0.521  0.675  0.135
F  0.521  0.825  0.635
F  0.686  0.117  0.053
F  0.686  0.383  0.553
F  0.697  0.001  0.850
F  0.697  0.499  0.350
F  0.728  0.574  0.014
F  0.728  0.926  0.514
F  0.738  0.037  0.311
F  0.738  0.463  0.811
F  0.946  0.249  0.001
F  0.946  0.251  0.501
F  0.981  0.081  0.760
F  0.981  0.419  0.260

Largest 10 diffraction maxima, in order of rising 2θ, 2θ from 5° to 70°:
2θ (°), d_spacing, I (rel.)
11.0, 8.022, 7
21.7, 4.097, 100
22.2, 4.011, 11
26.9, 3.319, 14
27.2, 3.274, 17
31.6, 2.834, 7
34.1, 2.628, 13
44.3, 2.046, 5
54.2, 1.691, 5
54.4, 1.688, 8

(11)
Structure and calculated powder diffraction line list of AcCuO3 (a crystal structure in the Materials Project, relaxed with PBE; λ = 1.5418 Å (Cu Kα)).
No peak broadening, texture or thermal motion is included.

abc: 3.944 3.944 3.944
angles: 90.00 90.00 90.00
Sites, in units of the cell vectors:
Ac  0.000  0.000  0.000
Cu  0.500  0.500  0.500
O  0.000  0.500  0.500
O  0.500  0.000  0.500
O  0.500  0.500  0.000

Largest 7 diffraction maxima, in order of rising 2θ, 2θ from 5° to 70°:
2θ (°), d_spacing, I (rel.)
22.5, 3.944, 28
32.1, 2.789, 100
39.6, 2.277, 20
46.0, 1.972, 28
51.8, 1.764, 14
57.2, 1.610, 40
67.1, 1.395, 17

(12)
Structure and calculated powder diffraction line list of Y3Ga4Cu2 (a crystal structure in the Materials Project, relaxed with PBE; λ = 1.5418 Å (Cu Kα)).
No peak broadening, texture or thermal motion is included.

abc: 4.290 4.290 22.293
angles: 90.00 90.00 120.00
Sites, in units of the cell vectors:
Y  0.000  0.000  0.000
Y  0.000  0.000  0.156
Y  0.000  0.000  0.333
Y  0.000  0.000  0.489
Y  0.000  0.000  0.666
Y  0.000  0.000  0.823
Ga  0.333  0.667  0.257
Ga  0.333  0.667  0.589
Ga  0.333  0.667  0.925
Ga  0.667  0.333  0.082
Ga  0.667  0.333  0.231
Ga  0.667  0.333  0.415
Ga  0.667  0.333  0.563
Ga  0.667  0.333  0.898
Cu  0.333  0.667  0.070
Cu  0.333  0.667  0.402
Cu  0.333  0.667  0.738
Cu  0.667  0.333  0.748

Largest 10 diffraction maxima, in order of rising 2θ, 2θ from 5° to 70°:
2θ (°), d_spacing, I (rel.)
24.0, 3.715, 5
26.8, 3.323, 4
34.1, 2.627, 100
42.1, 2.145, 62
43.9, 2.061, 10
49.0, 1.858, 11
55.3, 1.662, 26
62.5, 1.486, 4
66.6, 1.404, 19
67.9, 1.380, 5